# Ca3Fe2Br2O5
Theoretical powder XRD pattern, Cu Kα, 1.54184 Å. Input: DFT lattice parameters and positions (GGA+U).

Cell and atoms:
```
Ca3Fe2Br2O5
1.0
13.2643 -2.7683 0.0000
13.2643 2.7683 0.0000
0.0000 0.0000 5.5555
Ca Fe Br O
6 4 4 10
direct
0.1133 0.6161 0.7500
0.2336 0.7664 0.7500
0.3839 0.8867 0.7500
0.6161 0.1133 0.2500
0.7664 0.2336 0.2500
0.8867 0.3839 0.2500
0.1918 0.6669 0.2500
0.3331 0.8082 0.2500
0.6669 0.1918 0.7500
0.8082 0.3331 0.7500
0.0437 0.5799 0.2500
0.4201 0.9563 0.2500
0.5799 0.0437 0.7500
0.9563 0.4201 0.7500
0.0705 0.0705 0.0000
0.0705 0.0705 0.5000
0.3392 0.6608 0.2500
0.4098 0.4098 0.0000
0.4098 0.4098 0.5000
0.5902 0.5902 0.0000
0.5902 0.5902 0.5000
0.6608 0.3392 0.7500
0.9295 0.9295 0.0000
0.9295 0.9295 0.5000
```

Peak list (10 most intense, 15° ≤ 2θ ≤ 90°, in order of falling intensity)
2θ/deg	I/Imax
32.87	100
46.30	47
32.23	39
32.34	36
38.22	34
44.08	25
22.92	21
58.01	18
57.87	18
26.89	15